1.
This entry pairs a crystal structure of TlNiCl5 with its simulated PXRD pattern. Radiation: copper Kα. Structure: a cell relaxed with PBE.
Kinematic intensities with the Lorentz-polarization factor, no thermal factor.

```
14
Lattice="7.5233 0.0000 0.0000 -2.3274 7.3056 0.0000 -2.2758 -1.7183 7.3874" Properties=species:S:1:pos:R:3 pbc="T T T"
Tl -0.2707 2.6815 1.4780
Tl 3.1908 2.9057 5.9094
Ni -1.1379 -0.8592 3.6937
Ni 2.6238 -0.8592 3.6937
Cl -1.1226 1.3149 3.6904
Cl -2.0536 2.9935 7.0714
Cl 1.4008 1.1558 0.6106
Cl 0.7446 -0.8670 4.8544
Cl 0.1890 4.2639 3.5307
Cl 2.7311 1.3233 3.8568
Cl 2.1755 6.4542 2.5330
Cl 1.5193 4.4314 6.7768
Cl 4.9737 2.5937 0.3160
Cl 4.0428 4.2723 3.6970
```

Top 8 peaks for 2θ from 15° to 90°, sorted by position:
2θ (°)	I/Imax
17.77	97.0
19.18	100.0
19.94	70.9
21.14	65.0
24.51	75.6
24.88	76.4
32.78	54.6
49.94	48.4


2.
This entry pairs a crystal structure of TlNi2Cl with its simulated PXRD pattern. Radiation: copper Kα. Structure: a cell relaxed with PBE.
Kinematic intensities with the Lorentz-polarization factor, no thermal factor.

```
4
Lattice="3.5495 0.0000 0.0000 0.0000 3.5603 0.0000 -0.1282 0.0000 6.4900" Properties=species:S:1:pos:R:3 pbc="T T T"
Tl 0.0000 0.0000 0.0000
Ni 1.6491 0.0000 4.4315
Ni 3.4262 1.7802 4.4383
Cl 1.6584 1.7802 2.9670
```

Top 8 peaks for 2θ from 15° to 90°, sorted by position:
2θ (°)	I/Imax
25.05	65.5
28.43	51.3
28.60	100.0
28.91	48.6
38.22	51.3
38.59	56.2
45.33	60.1
45.98	54.5


3.
This entry pairs a crystal structure of TlNiCl2 with its simulated PXRD pattern. Radiation: copper Kα. Structure: a cell relaxed with PBE.
Kinematic intensities with the Lorentz-polarization factor, no thermal factor.

```
8
Lattice="-3.7645 3.7645 3.3501 3.7645 -3.7645 3.3501 3.7645 3.7645 -3.3501" Properties=species:S:1:pos:R:3 pbc="T T T"
Tl 0.0000 0.0000 0.0000
Tl 0.0000 3.7645 1.6750
Ni 3.7645 0.0000 1.6750
Ni 0.0000 0.0000 3.3501
Cl 1.8823 -1.0577 2.5126
Cl 2.7068 1.8823 0.8375
Cl 1.8823 4.8222 -0.8375
Cl 1.0577 1.8823 4.1876
```

Top 8 peaks for 2θ from 15° to 90°, sorted by position:
2θ (°)	I/Imax
17.72	25.3
23.63	67.8
29.69	48.1
31.55	100.0
33.67	44.7
46.81	64.4
54.51	24.3
69.58	19.5


4.
This entry pairs a crystal structure of Tl2ZnNiCl6 with its simulated PXRD pattern. Radiation: copper Kα. Structure: a cell relaxed with PBE.
Kinematic intensities with the Lorentz-polarization factor, no thermal factor.

```
20
Lattice="3.4981 2.0196 11.6975 -3.4981 2.0196 11.6975 0.0000 -4.0393 11.6975" Properties=species:S:1:pos:R:3 pbc="T T T"
Tl 0.0000 0.0000 4.2415
Tl 0.0000 0.0000 10.3959
Tl 0.0000 0.0000 24.6966
Tl 0.0000 0.0000 30.8510
Zn 0.0000 0.0000 14.5565
Zn 0.0000 0.0000 20.5361
Ni 0.0000 0.0000 0.0000
Ni 0.0000 0.0000 17.5463
Cl -1.6549 -0.9555 16.0777
Cl 0.0000 -2.0573 13.1006
Cl -1.7817 1.0287 13.1006
Cl -1.7817 -1.0287 21.9920
Cl 0.0000 -1.9110 19.0149
Cl -1.6549 0.9555 19.0149
Cl 1.6549 -0.9555 16.0777
Cl 0.0000 1.9110 16.0777
Cl 1.7817 1.0287 13.1006
Cl 1.7817 -1.0287 21.9920
Cl 0.0000 2.0573 21.9920
Cl 1.6549 0.9555 19.0149
```

Top 8 peaks for 2θ from 15° to 90°, sorted by position:
2θ (°)	I/Imax
19.35	47.8
23.03	51.7
25.46	100.0
29.41	31.4
32.18	58.1
34.59	59.1
39.29	30.5
52.31	36.6


5.
This entry pairs a crystal structure of ZnNi2Cl with its simulated PXRD pattern. Radiation: copper Kα. Structure: a cell relaxed with PBE.
Kinematic intensities with the Lorentz-polarization factor, no thermal factor.

```
4
Lattice="3.3392 0.0000 0.0000 0.0000 2.8431 0.0000 -0.0139 0.0000 6.2464" Properties=species:S:1:pos:R:3 pbc="T T T"
Zn 0.0000 0.0000 0.0000
Ni 1.6546 1.4216 5.0041
Ni 1.6706 1.4216 1.2423
Cl 1.6626 0.0000 3.1232
```

Top 8 peaks for 2θ from 15° to 90°, sorted by position:
2θ (°)	I/Imax
26.70	39.3
39.51	58.1
41.72	69.6
43.02	100.0
44.28	89.5
51.68	29.0
51.80	28.5
55.00	29.0


6.
This entry pairs a crystal structure of ZnNi2Cl with its simulated PXRD pattern. Radiation: copper Kα. Structure: a cell relaxed with PBE.
Kinematic intensities with the Lorentz-polarization factor, no thermal factor.

```
4
Lattice="3.1167 0.0000 0.0000 0.0000 3.1167 0.0000 0.0000 0.0000 6.4340" Properties=species:S:1:pos:R:3 pbc="T T T"
Zn 0.0000 0.0000 0.0000
Ni 0.0000 0.0000 3.9551
Ni 1.5584 1.5584 5.2900
Cl 1.5584 1.5584 2.9264
```

Top 8 peaks for 2θ from 15° to 90°, sorted by position:
2θ (°)	I/Imax
40.29	99.0
40.95	100.0
43.40	26.5
51.74	80.4
59.30	31.0
74.14	28.8
82.54	37.5
87.85	14.4


7.
This entry pairs a crystal structure of ZnNi4Cl with its simulated PXRD pattern. Radiation: copper Kα. Structure: a cell relaxed with PBE.
Kinematic intensities with the Lorentz-polarization factor, no thermal factor.

```
6
Lattice="0.0000 3.4162 3.4162 3.4162 0.0000 3.4162 3.4162 3.4162 0.0000" Properties=species:S:1:pos:R:3 pbc="T T T"
Zn 0.0000 0.0000 0.0000
Ni 2.5548 2.5548 2.5548
Ni 4.2776 4.2776 2.5548
Ni 4.2776 2.5548 4.2776
Ni 2.5548 4.2776 4.2776
Cl 5.1243 5.1243 5.1243
```

Top 8 peaks for 2θ from 15° to 90°, sorted by position:
2θ (°)	I/Imax
22.54	16.9
37.22	21.6
43.95	100.0
46.02	46.8
53.66	7.5
67.11	6.7
71.79	27.6
79.33	24.2


8.
This entry pairs a crystal structure of Zn3NiCl9 with its simulated PXRD pattern. Radiation: copper Kα. Structure: a cell relaxed with PBE.
Kinematic intensities with the Lorentz-polarization factor, no thermal factor.

```
26
Lattice="8.3027 -4.2846 0.0000 8.3027 4.2846 0.0000 -8.0037 0.0000 9.4611" Properties=species:S:1:pos:R:3 pbc="T T T"
Zn 4.3009 3.9022 4.7306
Zn 1.7485 0.8443 5.4777
Zn 5.7504 -0.8443 0.7471
Zn 7.1637 0.6640 4.3690
Zn 3.1618 -0.6640 9.0995
Zn 8.3027 -3.9022 0.0000
Ni -1.6891 1.9109 7.2448
Ni 2.3128 -1.9109 2.5142
Cl 2.2108 3.0100 4.7487
Cl -3.5875 0.7329 6.6941
Cl 0.1932 3.0082 7.7968
Cl -0.4993 0.7898 5.3990
Cl 0.4144 -0.7329 1.9635
Cl 5.6485 2.3391 3.7501
Cl 3.5026 -0.7898 0.6684
Cl -1.0113 0.2233 8.5458
Cl 2.9906 -0.2233 3.8152
Cl 3.0878 0.8275 7.3371
Cl 9.1669 1.6706 4.5937
Cl 9.9869 0.5832 1.2849
Cl 7.0897 -0.8275 2.6065
Cl 6.2127 -3.0100 0.0181
Cl 5.9851 -0.5832 6.0154
Cl 4.1951 -3.0082 3.0662
Cl 1.6467 -2.3391 8.4806
Cl 5.1651 -1.6706 9.3243
```

Top 8 peaks for 2θ from 15° to 90°, sorted by position:
2θ (°)	I/Imax
18.13	100.0
19.79	61.1
23.47	31.8
24.08	22.8
29.09	26.2
29.96	22.2
30.35	44.8
46.46	25.6


9.
This entry pairs a crystal structure of Zn2NiCl with its simulated PXRD pattern. Radiation: copper Kα. Structure: a cell relaxed with PBE.
Kinematic intensities with the Lorentz-polarization factor, no thermal factor.

```
4
Lattice="3.0843 0.0000 0.0000 0.0000 3.7039 0.0000 -0.0423 0.0000 6.6958" Properties=species:S:1:pos:R:3 pbc="T T T"
Zn 0.0000 0.0000 0.0000
Zn -0.0011 1.8520 2.2111
Ni 1.5422 1.8520 0.3134
Cl 0.0042 0.0000 3.7260
```

Top 8 peaks for 2θ from 15° to 90°, sorted by position:
2θ (°)	I/Imax
26.63	57.2
27.52	70.1
28.95	44.6
40.30	57.9
40.43	100.0
46.86	88.8
47.09	85.7
49.20	44.2


10.
This entry pairs a crystal structure of Np2Cl13 with its simulated PXRD pattern. Radiation: copper Kα. Structure: a cell relaxed with PBE.
Kinematic intensities with the Lorentz-polarization factor, no thermal factor.

```
15
Lattice="7.4003 0.0000 0.0000 2.6237 8.4358 0.0000 2.2097 3.0507 9.5357" Properties=species:S:1:pos:R:3 pbc="T T T"
Np 1.9707 1.7899 2.2492
Np 10.2630 9.6967 7.2865
Cl 1.1048 1.5254 4.7679
Cl 3.6753 7.9981 1.7672
Cl 2.8546 4.0093 2.8229
Cl 5.0325 8.6727 7.8717
Cl 4.9699 5.0731 9.4661
Cl 5.8119 6.3232 5.5233
Cl 6.7244 9.2059 2.9266
Cl 5.5093 2.2807 6.6091
Cl 6.4218 5.1634 4.0124
Cl 7.2638 6.4135 0.0696
Cl 7.2011 2.8139 1.6640
Cl 9.3791 7.4773 6.7128
Cl 8.5583 3.4884 7.7686
```

Top 8 peaks for 2θ from 15° to 90°, sorted by position:
2θ (°)	I/Imax
16.45	67.7
16.61	76.1
18.58	100.0
18.71	57.7
19.84	37.3
21.22	41.9
25.96	53.3
31.33	49.6


11.
This entry pairs a crystal structure of NpClO2 with its simulated PXRD pattern. Radiation: copper Kα. Structure: a cell relaxed with PBE.
Kinematic intensities with the Lorentz-polarization factor, no thermal factor.

```
8
Lattice="1.7210 -5.2752 0.0000 1.7210 5.2752 0.0000 -1.1476 0.0000 8.5745" Properties=species:S:1:pos:R:3 pbc="T T T"
Np 0.8603 3.3317 6.4308
Np 1.4341 -3.3317 2.1436
Cl 1.4341 4.4972 2.1436
Cl 0.8603 -4.4972 6.4308
O 1.1262 1.7993 3.3918
O 1.7421 1.7993 0.8954
O 0.5523 -1.7993 7.6791
O 1.1682 -1.7993 5.1826
```

Top 8 peaks for 2θ from 15° to 90°, sorted by position:
2θ (°)	I/Imax
16.81	55.4
19.76	81.6
20.72	100.0
28.14	47.0
30.66	33.1
35.61	61.5
36.73	34.0
39.27	36.5


12.
This entry pairs a crystal structure of NpCl3O with its simulated PXRD pattern. Radiation: copper Kα. Structure: a cell relaxed with PBE.
Kinematic intensities with the Lorentz-polarization factor, no thermal factor.

```
10
Lattice="-3.6538 5.2068 4.2998 3.6538 -5.2068 4.2998 3.6538 5.2068 -4.2998" Properties=species:S:1:pos:R:3 pbc="T T T"
Np -1.8269 2.6034 2.1499
Np 1.8269 2.6034 2.1499
Cl 1.8269 5.3213 -2.1499
Cl 1.8269 0.1145 2.1499
Cl 0.0000 2.6034 0.1617
Cl 3.6538 2.6034 4.1381
Cl -1.8269 5.0923 2.1499
Cl 1.8269 5.0923 2.1499
O 3.6538 2.6034 1.1990
O 0.0000 2.6034 3.1008
```

Top 8 peaks for 2θ from 15° to 90°, sorted by position:
2θ (°)	I/Imax
17.03	74.5
20.66	81.6
24.36	46.1
27.71	58.3
27.88	100.0
32.15	82.7
40.94	50.3
47.83	52.2